[1]
The following is a computed X-ray diffraction stick pattern of KRbZn2P2. It was derived from a DFT-relaxed cell (GGA-PBE, OQMD), using Cu Kα (λ = 1.5418 Å).
Neutral-atom scattering factors, no anomalous dispersion.

Structural model:
a = 4.1054 Å, b = 4.1054 Å, c = 10.4887 Å
α = 90.00°, β = 90.00°, γ = 120.00°
Space group P-3m1 (No. 164)
Asymmetric unit:
K 0.0000 0.0000 0.0000
Rb 0.0000 0.0000 0.5000
Zn 0.3333 0.6667 0.7589
P 0.3333 0.6667 0.2413

Peak list (8 most intense, 2θ from 10° to 90°, low angle first)
- 2θ = 26.47°, rel. 20
- 2θ = 30.37°, rel. 100
- 2θ = 34.20°, rel. 24
- 2θ = 44.12°, rel. 36
- 2θ = 54.50°, rel. 18
- 2θ = 56.97°, rel. 31
- 2θ = 58.87°, rel. 13
- 2θ = 72.63°, rel. 14

[2]
The following is a computed X-ray diffraction stick pattern of KSmP2S6. It was derived from a DFT-relaxed cell (GGA-PBE, OQMD), using Cu Kα (λ = 1.5418 Å).
Neutral-atom scattering factors, no anomalous dispersion.

Structural model:
a = 6.556 Å, b = 7.434 Å, c = 10.016 Å
α = 90.00°, β = 92.63°, γ = 90.00°
Space group P2_1 (No. 4)
Asymmetric unit:
K 0.193 0.000 0.000
Sm 0.286 0.224 0.497
P 0.175 0.714 0.330
P 0.301 0.489 0.208
S 0.094 0.301 0.751
S 0.096 0.290 0.232
S 0.136 0.598 0.514
S 0.331 0.574 0.023
S 0.403 0.906 0.333
S 0.443 0.920 0.674

Peak list (8 most intense, 2θ from 10° to 90°, low angle first)
- 2θ = 18.05°, rel. 68
- 2θ = 19.85°, rel. 54
- 2θ = 20.41°, rel. 72
- 2θ = 25.57°, rel. 100
- 2θ = 29.95°, rel. 53
- 2θ = 31.52°, rel. 48
- 2θ = 31.93°, rel. 95
- 2θ = 37.39°, rel. 55

[3]
The following is a computed X-ray diffraction stick pattern of KSmP2S7. It was derived from a DFT-relaxed cell (GGA-PBE, OQMD), using Cu Kα (λ = 1.5418 Å).
Neutral-atom scattering factors, no anomalous dispersion.

Structural model:
a = 9.732 Å, b = 12.407 Å, c = 9.036 Å
α = 90.00°, β = 90.19°, γ = 90.00°
Space group P2_1/c (No. 14)
Asymmetric unit:
K 0.107 0.193 0.131
Sm 0.358 0.643 0.606
P 0.224 0.603 0.977
P 0.316 0.036 0.803
S 0.128 0.709 0.112
S 0.131 0.556 0.788
S 0.166 0.525 0.431
S 0.252 0.052 0.578
S 0.352 0.194 0.854
S 0.409 0.671 0.925
S 0.487 0.558 0.322

Peak list (8 most intense, 2θ from 10° to 90°, low angle first)
- 2θ = 11.56°, rel. 100
- 2θ = 17.34°, rel. 57
- 2θ = 19.60°, rel. 67
- 2θ = 22.83°, rel. 39
- 2θ = 25.28°, rel. 58
- 2θ = 25.40°, rel. 37
- 2θ = 31.87°, rel. 44
- 2θ = 34.36°, rel. 35

[4]
The following is a computed X-ray diffraction stick pattern of K2ThP3Se9. It was derived from a DFT-relaxed cell (GGA-PBE, OQMD), using Cu Kα (λ = 1.5418 Å).
Neutral-atom scattering factors, no anomalous dispersion.

Structural model:
a = 10.510 Å, b = 7.951 Å, c = 22.723 Å
α = 90.00°, β = 113.64°, γ = 90.00°
Space group P2_1/c (No. 14)
Asymmetric unit:
K 0.058 0.101 0.324
K 0.258 0.586 0.500
Th 0.397 0.092 0.646
P 0.121 0.124 0.159
P 0.280 0.587 0.694
P 0.430 0.112 0.486
Se 0.073 0.532 0.342
Se 0.137 0.215 0.068
Se 0.207 0.719 0.117
Se 0.224 0.171 0.727
Se 0.237 0.021 0.494
Se 0.293 0.677 0.788
Se 0.422 0.197 0.393
Se 0.480 0.706 0.434
Se 0.482 0.045 0.209

Peak list (8 most intense, 2θ from 10° to 90°, low angle first)
- 2θ = 14.01°, rel. 35
- 2θ = 28.17°, rel. 100
- 2θ = 29.86°, rel. 39
- 2θ = 30.54°, rel. 36
- 2θ = 31.87°, rel. 33
- 2θ = 34.21°, rel. 47
- 2θ = 34.31°, rel. 33
- 2θ = 37.55°, rel. 34

[5]
The following is a computed X-ray diffraction stick pattern of K2ThP3Se9. It was derived from a DFT-relaxed cell (GGA-PBE, OQMD), using Cu Kα (λ = 1.5418 Å).
Neutral-atom scattering factors, no anomalous dispersion.

Structural model:
a = 10.311 Å, b = 10.662 Å, c = 16.826 Å
α = 89.91°, β = 72.62°, γ = 88.61°
Space group P-1 (No. 2)
Asymmetric unit:
K 0.028 0.242 0.466
K 0.239 0.192 0.138
K 0.295 0.669 0.851
K 0.450 0.763 0.546
Th 0.195 0.723 0.221
Th 0.226 0.218 0.831
P 0.050 0.539 0.725
P 0.072 0.925 0.009
P 0.221 0.413 0.650
P 0.275 0.931 0.377
P 0.465 0.002 0.282
P 0.489 0.572 0.054
Se 0.003 0.563 0.150
Se 0.012 0.255 0.013
Se 0.033 0.934 0.148
Se 0.108 0.733 0.721
Se 0.109 0.228 0.674
Se 0.112 0.496 0.333
Se 0.126 0.982 0.308
Se 0.247 0.014 0.497
Se 0.275 0.987 0.934
Se 0.286 0.465 0.521
Se 0.288 0.723 0.375
Se 0.295 0.381 0.963
Se 0.352 0.054 0.682
Se 0.364 0.731 0.033
Se 0.376 0.419 0.717
Se 0.376 0.489 0.174
Se 0.427 0.202 0.274
Se 0.470 0.878 0.171

Peak list (8 most intense, 2θ from 10° to 90°, low angle first)
- 2θ = 11.02°, rel. 86
- 2θ = 26.76°, rel. 47
- 2θ = 29.21°, rel. 56
- 2θ = 29.57°, rel. 100
- 2θ = 31.42°, rel. 65
- 2θ = 33.63°, rel. 48
- 2θ = 34.64°, rel. 49
- 2θ = 35.30°, rel. 60

[6]
The following is a computed X-ray diffraction stick pattern of KPa2Tc. It was derived from a DFT-relaxed cell (GGA-PBE, OQMD), using Cu Kα (λ = 1.5418 Å).
Neutral-atom scattering factors, no anomalous dispersion.

Structural model:
a = 3.6089 Å, b = 3.6089 Å, c = 11.0798 Å
α = 90.00°, β = 90.00°, γ = 120.00°
Space group P-6m2 (No. 187)
Asymmetric unit:
K 0.0000 0.0000 0.0000
Pa 0.0000 0.0000 0.3387
Tc 0.6667 0.3333 0.5000

Peak list (8 most intense, 2θ from 10° to 90°, low angle first)
- 2θ = 24.10°, rel. 26
- 2θ = 28.56°, rel. 70
- 2θ = 32.90°, rel. 25
- 2θ = 37.70°, rel. 100
- 2θ = 43.66°, rel. 20
- 2θ = 50.58°, rel. 27
- 2θ = 64.78°, rel. 21
- 2θ = 86.50°, rel. 19

[7]
The following is a computed X-ray diffraction stick pattern of KPrPbSe4. It was derived from a DFT-relaxed cell (GGA-PBE, OQMD), using Cu Kα (λ = 1.5418 Å).
Neutral-atom scattering factors, no anomalous dispersion.

Structural model:
a = 7.291 Å, b = 7.328 Å, c = 9.257 Å
α = 90.00°, β = 107.83°, γ = 90.00°
Space group P2_1 (No. 4)
Asymmetric unit:
K 0.243 0.000 0.439
Pr 0.277 0.010 0.949
Pb 0.267 0.533 0.174
Se 0.034 0.644 0.907
Se 0.047 0.569 0.347
Se 0.454 0.288 0.777
Se 0.495 0.750 0.787

Peak list (8 most intense, 2θ from 10° to 90°, low angle first)
- 2θ = 10.04°, rel. 100
- 2θ = 15.73°, rel. 62
- 2θ = 24.29°, rel. 25
- 2θ = 27.42°, rel. 26
- 2θ = 29.75°, rel. 48
- 2θ = 30.06°, rel. 56
- 2θ = 35.63°, rel. 45
- 2θ = 46.44°, rel. 24

[8]
The following is a computed X-ray diffraction stick pattern of KSmTe3Pb. It was derived from a DFT-relaxed cell (GGA-PBE, OQMD), using Cu Kα (λ = 1.5418 Å).
Neutral-atom scattering factors, no anomalous dispersion.

Structural model:
a = 4.647 Å, b = 16.503 Å, c = 12.722 Å
α = 90.00°, β = 90.00°, γ = 90.00°
Space group Cmcm (No. 63)
Asymmetric unit:
K 0.000 0.226 0.250
Sm 0.000 0.500 0.000
Te 0.000 0.132 0.519
Te 0.000 0.446 0.750
Pb 0.000 0.067 0.750

Peak list (8 most intense, 2θ from 10° to 90°, low angle first)
- 2θ = 10.72°, rel. 100
- 2θ = 25.09°, rel. 40
- 2θ = 26.06°, rel. 66
- 2θ = 28.06°, rel. 60
- 2θ = 28.80°, rel. 42
- 2θ = 38.76°, rel. 27
- 2θ = 46.27°, rel. 26
- 2θ = 48.52°, rel. 27